Pm8NdTm3: computed powder diffractogram (Cu Kα), based on a crystal structure in Alexandria, relaxed with GGA-PBE.

Structural model:
Lattice parameters (Å, degrees): 8.9967 3.6449 12.5885 90.00 103.56 90.00
Space group Pm (No. 6)
Symmetry-distinct sites (fractional):
Pm (0.0000, 0.0000, 0.0000)
Pm (0.0000, 0.5000, 0.2498)
Pm (0.3309, 0.5000, 0.4705)
Pm (0.3338, 0.0000, 0.7192)
Pm (0.3406, 0.0000, 0.2250)
Pm (0.6680, 0.0000, 0.6066)
Pm (0.6678, 0.5000, 0.8626)
Pm (0.9981, 0.5000, 0.7463)
Nd (0.3383, 0.5000, 0.9736)
Tm (0.6700, 0.0000, 0.1150)
Tm (0.6743, 0.5000, 0.3598)
Tm (0.9964, 0.0000, 0.4975)

The 10 most intense peaks (2θ from 10° to 90°), in order of falling intensity:
2θ (°)  I/Imax
31.49  100
33.16  84
30.67  49
28.52  37
59.89  29
50.17  25
53.95  23
59.99  14
50.05  13
29.14  13

=====

Pm4Nd3Tm3: computed powder diffractogram (Cu Kα), based on a crystal structure in Alexandria, relaxed with GGA-PBE.

Structural model:
Lattice parameters (Å, degrees): 3.8034 13.3659 13.3150 90.00 90.00 90.00
Space group Amm2 (No. 38)
Symmetry-distinct sites (fractional):
Pm (0.0000, 0.0000, 0.0000)
Pm (0.0000, 0.0000, 0.2543)
Pm (0.0000, 0.1297, 0.6307)
Nd (0.0000, 0.2456, 0.8772)
Nd (0.5000, 0.0000, 0.4587)
Tm (0.5000, 0.0000, 0.7986)
Tm (0.5000, 0.1691, 0.1273)

The 10 most intense peaks (2θ from 10° to 90°), in order of falling intensity:
2θ (°)  I/Imax
31.67  100
29.95  58
30.19  26
57.47  19
55.21  16
46.31  13
47.83  11
57.90  9
58.03  9
39.39  8

=====

Pm4Nd2Tm5: computed powder diffractogram (Cu Kα), based on a crystal structure in Alexandria, relaxed with GGA-PBE.

Structural model:
Lattice parameters (Å, degrees): 3.5797 8.6122 11.7960 89.52 83.58 89.50
Space group P-1 (No. 2)
Symmetry-distinct sites (fractional):
Pm (0.0105, 0.2051, 0.4718)
Pm (0.1156, 0.2543, 0.1784)
Nd (0.1486, 0.6495, 0.1001)
Tm (0.4098, 0.0730, 0.7156)
Tm (0.4545, 0.4726, 0.6485)
Tm (0.5000, 0.0000, 0.0000)

The 10 most intense peaks (2θ from 10° to 90°), in order of falling intensity:
2θ (°)  I/Imax
32.06  100
31.02  69
32.19  54
32.53  47
29.01  33
30.82  26
49.25  18
33.06  18
32.78  14
56.03  12

=====

Pm2Nd2Tm7: computed powder diffractogram (Cu Kα), based on a crystal structure in Alexandria, relaxed with GGA-PBE.

Structural model:
Lattice parameters (Å, degrees): 11.2240 11.5624 6.0564 90.00 114.02 90.00
Space group C2/m (No. 12)
Symmetry-distinct sites (fractional):
Pm (0.0000, 0.2090, 0.0000)
Nd (0.0994, 0.5000, 0.3116)
Tm (0.0000, 0.0000, 0.5000)
Tm (0.1725, 0.2380, 0.6770)
Tm (0.2329, 0.0000, 0.0752)

The 10 most intense peaks (2θ from 10° to 90°), in order of falling intensity:
2θ (°)  I/Imax
32.19  100
30.90  76
33.69  40
33.85  29
31.96  28
25.62  22
45.07  16
55.83  14
49.82  13
35.63  13

=====

Pm7Nd2Tm4: computed powder diffractogram (Cu Kα), based on a crystal structure in Alexandria, relaxed with GGA-PBE.

Structural model:
Lattice parameters (Å, degrees): 6.2006 10.6874 13.1670 90.00 90.16 90.00
Space group C2/m (No. 12)
Symmetry-distinct sites (fractional):
Pm (0.0000, 0.0000, 0.0000)
Pm (0.1312, 0.5000, 0.2233)
Pm (0.1872, 0.1845, 0.2268)
Nd (0.0000, 0.3322, 0.0000)
Tm (0.0000, 0.3337, 0.5000)
Tm (0.0096, 0.0000, 0.6066)

The 10 most intense peaks (2θ from 10° to 90°), in order of falling intensity:
2θ (°)  I/Imax
32.01  100
31.90  83
51.09  46
29.70  45
27.09  35
35.52  28
26.25  21
28.90  20
29.61  20
35.49  15

=====

PmNd6Tm4: computed powder diffractogram (Cu Kα), based on a crystal structure in Alexandria, relaxed with GGA-PBE.

Structural model:
Lattice parameters (Å, degrees): 5.8409 9.7240 25.9707 90.00 90.00 90.00
Space group Cmcm (No. 63)
Symmetry-distinct sites (fractional):
Pm (0.0000, 0.2048, 0.2500)
Nd (0.0000, 0.1297, 0.6808)
Nd (0.0000, 0.1942, 0.0986)
Nd (0.0000, 0.4574, 0.7500)
Nd (0.0000, 0.5000, 0.0000)
Tm (0.0000, 0.1535, 0.5440)
Tm (0.0000, 0.4644, 0.6238)

The 10 most intense peaks (2θ from 10° to 90°), in order of falling intensity:
2θ (°)  I/Imax
31.57  100
30.61  77
29.98  67
32.88  64
30.30  57
43.61  42
31.76  38
56.88  25
55.02  23
54.02  22

=====

Pm12Nd2Tm5: computed powder diffractogram (Cu Kα), based on a crystal structure in Alexandria, relaxed with GGA-PBE.

Structural model:
Lattice parameters (Å, degrees): 16.1818 9.9319 11.4746 90.00 134.80 90.00
Space group C2/m (No. 12)
Symmetry-distinct sites (fractional):
Pm (0.0983, 0.2425, 0.4014)
Pm (0.1886, 0.5000, 0.2945)
Pm (0.2000, 0.2446, 0.8026)
Pm (0.2061, 0.0000, 0.3026)
Nd (0.0000, 0.2492, 0.0000)
Tm (0.0000, 0.5000, 0.5000)
Tm (0.0982, 0.5000, 0.8917)
Tm (0.1069, 0.0000, 0.9176)

The 10 most intense peaks (2θ from 10° to 90°), in order of falling intensity:
2θ (°)  I/Imax
30.51  100
34.86  17
35.06  17
36.18  16
61.58  13
51.12  12
51.26  12
59.77  7
59.89  7
60.02  7

=====

Pm2Nd7Tm4: computed powder diffractogram (Cu Kα), based on a crystal structure in Alexandria, relaxed with GGA-PBE.

Structural model:
Lattice parameters (Å, degrees): 6.9009 8.7618 8.9004 116.66 101.15 103.95
Space group P-1 (No. 2)
Symmetry-distinct sites (fractional):
Pm (0.1940, 0.2277, 0.1228)
Nd (0.1505, 0.9710, 0.6830)
Nd (0.2548, 0.5094, 0.5693)
Nd (0.4118, 0.1422, 0.4577)
Nd (0.5000, 0.5000, 0.0000)
Tm (0.0726, 0.6509, 0.2223)
Tm (0.3227, 0.8287, 0.9952)

The 10 most intense peaks (2θ from 10° to 90°), in order of falling intensity:
2θ (°)  I/Imax
31.07  100
31.91  91
31.28  60
29.62  38
33.35  23
32.56  18
62.69  16
42.33  15
31.39  14
46.61  14